The following is a computed powder diffraction line list of Ba2AgO. It was derived from DFT lattice parameters and positions (GGA-PBE), using CuKα.
Peak positions follow from Bragg's law for the DFT cell and can differ from measured ones.

Cell and atoms:
a b c (Å): 7.876 7.876 6.454
angles (deg): 90.07 90.07 46.90
Fractional positions:
Ba1 0.104 0.695 0.000
Ba2 0.305 0.896 0.500
Ba3 0.695 0.104 0.500
Ba4 0.896 0.305 0.000
Ag1 0.000 0.500 0.500
Ag2 0.500 0.000 0.000
O1 0.000 0.000 0.250
O2 0.000 0.000 0.750

Top 10 peaks for 2θ = 10–90°, in order of rising 2θ:
- 5.750 Å, I = 9.6
- 3.287 Å, I = 100.0
- 3.227 Å, I = 24.7
- 3.134 Å, I = 17.8
- 2.626 Å, I = 8.9
- 2.408 Å, I = 10.5
- 2.248 Å, I = 17.1
- 1.930 Å, I = 10.0
- 1.875 Å, I = 22.4
- 1.837 Å, I = 11.3